Computed powder diffraction line list of LaErMo2O8 for Cu Kα (λ = 1.5418 Å), from a crystal structure in Alexandria, relaxed with GGA+U.

The 10 most intense peaks (5 to 70 degrees two-theta), most intense first:
2theta  I/Imax
28.43  100
46.79  31
56.97  28
33.61  20
54.34  16
48.27  15
31.59  13
58.84  11
18.39  5
38.58  3

Crystal structure
```
data_LaErMo2O8
_cell_length_a 6.8050
_cell_length_b 6.8050
_cell_length_c 6.8050
_cell_angle_alpha 133.86
_cell_angle_beta 133.86
_cell_angle_gamma 67.31
_space_group_name_H-M_alt 'P 1'
_space_group_IT_number 1
loop_
_space_group_symop_operation_xyz
'x,y,z'
loop_
_atom_site_label
_atom_site_type_symbol
_atom_site_fract_x
_atom_site_fract_y
_atom_site_fract_z
La1 La 0.0000 0.0000 0.0000
Er1 Er 0.2500 0.7500 0.5000
Mo1 Mo 0.5000 0.5000 0.0000
Mo2 Mo 0.7500 0.2500 0.5000
O1 O 0.0259 0.0749 0.4269
O2 O 0.2479 0.6446 0.0692
O3 O 0.3554 0.4246 0.6032
O4 O 0.4010 0.9741 0.0491
O5 O 0.5754 0.1786 0.9308
O6 O 0.6481 0.5990 0.5731
O7 O 0.8214 0.7521 0.3968
O8 O 0.9251 0.3519 0.9509
```